This entry pairs a crystal structure of MnTlO3 with its computed powder diffraction line list. Radiation: a wavelength of 1.5418 Å. Structure: a GGA+U-relaxed structure.
No peak broadening, texture or thermal motion is included.

Largest 8 diffraction maxima, sorted by position, 2θ = 10–90°:
- hkl 0 0 2, 14.7°, 6.023 Å, intensity 50.6
- hkl 1 1 0, 29.1°, 3.065 Å, intensity 49.4
- hkl 0 0 4, 29.7°, 3.012 Å, intensity 30.8
- hkl 1 1 2, 32.8°, 2.732 Å, intensity 100.0
- hkl 1 1 4, 42.1°, 2.148 Å, intensity 43.1
- hkl 3 0 0, 51.6°, 1.770 Å, intensity 30.6
- hkl 1 1 6, 54.6°, 1.680 Å, intensity 23.8
- hkl 3 0 4, 60.7°, 1.526 Å, intensity 24.4

Structural model:
Cell: 6.1308 6.1308 12.0470 Å, 90.00 90.00 120.00°
Space group P6_3cm (No. 185)
Unique sites:
Mn 0.0000 0.3348 0.0000 x6
Tl 0.0000 0.0000 0.2697 x2
Tl 0.3333 0.6667 0.2396 x4
O 0.0000 0.0000 0.4842 x2
O 0.0000 0.3164 0.1612 x6
O 0.0000 0.3510 0.8390 x6
O 0.3333 0.6667 0.0087 x4

This entry pairs a crystal structure of TmMn2O4 with its computed powder diffraction line list. Radiation: a wavelength of 1.5418 Å. Structure: a GGA+U-relaxed structure.
No peak broadening, texture or thermal motion is included.

Largest 8 diffraction maxima, sorted by position, 2θ = 10–90°:
- hkl 0 0 2, 17.8°, 4.991 Å, intensity 26.9
- hkl 2 0 1, 19.4°, 4.571 Å, intensity 74.0
- hkl 1 1 1, 31.0°, 2.883 Å, intensity 50.2
- hkl 2 0 3, 32.0°, 2.794 Å, intensity 100.0
- hkl 4 0 0, 34.8°, 2.575 Å, intensity 82.4
- hkl 3 1 1, 39.9°, 2.259 Å, intensity 66.9
- hkl 3 1 2, 43.0°, 2.103 Å, intensity 36.9
- hkl 0 0 6, 55.2°, 1.664 Å, intensity 34.6

Structural model:
Cell: 10.285 3.149 9.982 Å, 90.00 90.00 90.00°
Space group Pca2_1 (No. 29)
Unique sites:
Tm 0.139 0.208 0.000 x4
Mn 0.114 0.697 0.311 x4
Mn 0.124 0.734 0.673 x4
O 0.020 0.684 0.121 x4
O 0.048 0.740 0.854 x4
O 0.207 0.710 0.496 x4
O 0.243 0.178 0.226 x4

This entry pairs a crystal structure of Tm3MnO6 with its computed powder diffraction line list. Radiation: a wavelength of 1.5418 Å. Structure: a GGA+U-relaxed structure.
No peak broadening, texture or thermal motion is included.

Largest 8 diffraction maxima, sorted by position, 2θ = 10–90°:
- hkl 1 1 1, 31.6°, 2.832 Å, intensity 100.0
- hkl 1 1 -3, 32.5°, 2.754 Å, intensity 69.8
- hkl 2 0 -2, 33.3°, 2.688 Å, intensity 29.6
- hkl 2 1 -1, 38.3°, 2.347 Å, intensity 14.5
- hkl 0 0 4, 45.4°, 1.998 Å, intensity 17.7
- hkl 2 2 -2, 46.5°, 1.951 Å, intensity 22.0
- hkl 2 0 2, 56.3°, 1.633 Å, intensity 21.8
- hkl 3 1 -5, 59.6°, 1.551 Å, intensity 13.8

Structural model:
Cell: 5.380 5.673 9.466 Å, 90.00 122.43 90.00°
Space group P2_1/c (No. 14)
Unique sites:
Tm 0.000 0.000 0.000 x2
Tm 0.281 0.065 0.753 x4
Mn 0.500 0.000 0.500 x2
O 0.121 0.064 0.263 x4
O 0.280 0.686 0.072 x4
O 0.395 0.204 0.074 x4